Entry 1:
Theoretical PXRD pattern
Compound: HgAs
Radiation: λ = 1.5418 Å (Cu Kα)
Structure: a structure optimized by DFT (PBE)
Lines closer than 0.1° are merged.

The 12 most intense peaks (2θ from 5° to 70°), sorted by position:
d 3.977, intensity 100; d 3.755, intensity 40; d 3.508, intensity 14; d 3.375, intensity 64; d 2.959, intensity 28; d 2.645, intensity 20; d 2.361, intensity 31; d 2.308, intensity 33; d 2.142, intensity 16; d 2.035, intensity 44; d 1.935, intensity 29; d 1.713, intensity 12

Cell and atoms:
```
HgAs
1.0
4.7229 0.0000 0.0000
0.0000 11.3894 0.0000
0.0000 0.0000 7.3744
Hg As
6 6
Direct
0.2500 0.0974 0.1599 Hg
0.2500 0.4026 0.1599 Hg
0.2500 0.7500 0.2819 Hg
0.7500 0.2500 0.7181 Hg
0.7500 0.5974 0.8401 Hg
0.7500 0.9026 0.8401 Hg
0.2500 0.2500 0.9044 As
0.2500 0.5340 0.4429 As
0.2500 0.9660 0.4429 As
0.7500 0.0340 0.5571 As
0.7500 0.4660 0.5571 As
0.7500 0.7500 0.0956 As
```

Entry 2:
Theoretical PXRD pattern
Compound: ScBi2Br
Radiation: λ = 1.5418 Å (Cu Kα)
Structure: a structure optimized by DFT (PBE)
Lines closer than 0.1° are merged.

The 12 most intense peaks (2θ from 5° to 70°), sorted by position:
d 5.821, intensity 47; d 3.121, intensity 100; d 2.911, intensity 34; d 2.487, intensity 55; d 2.132, intensity 53; d 1.891, intensity 25; d 1.800, intensity 9; d 1.620, intensity 10; d 1.480, intensity 28; d 1.438, intensity 17; d 1.416, intensity 13; d 1.357, intensity 14

Cell and atoms:
```
ScBi2Br
1.0
-2.2911 2.2911 11.6428
2.2911 -2.2911 11.6428
2.2911 2.2911 -11.6428
Sc Bi Br
2 4 2
Direct
0.0000 0.0000 0.0000 Sc
0.7500 0.2500 0.5000 Sc
0.0890 0.6250 0.9640 Bi
0.3750 0.3390 0.4640 Bi
0.6610 0.1250 0.0360 Bi
0.8750 0.9110 0.5360 Bi
0.2500 0.7500 0.5000 Br
0.5000 0.5000 0.0000 Br
```

Entry 3:
Theoretical PXRD pattern
Compound: MgAgF5
Radiation: λ = 1.5418 Å (Cu Kα)
Structure: a structure optimized by DFT (PBE)
Lines closer than 0.1° are merged.

The 12 most intense peaks (2θ from 5° to 70°), sorted by position:
d 5.107, intensity 28; d 4.574, intensity 100; d 3.845, intensity 44; d 3.822, intensity 96; d 3.227, intensity 53; d 3.096, intensity 62; d 2.709, intensity 25; d 2.653, intensity 28; d 2.557, intensity 28; d 2.278, intensity 37; d 2.115, intensity 33; d 1.911, intensity 30

Cell and atoms:
```
MgAgF5
1.0
3.1746 -4.5139 0.0000
3.1746 4.5139 0.0000
-1.6260 0.0000 7.1831
Mg Ag F
2 2 10
Direct
0.0000 0.0000 0.0000 Mg
0.0000 0.0000 0.5000 Mg
0.3706 0.6294 0.7500 Ag
0.6294 0.3706 0.2500 Ag
0.0659 0.9341 0.2500 F
0.1560 0.7282 0.5597 F
0.2718 0.8440 0.9403 F
0.3135 0.3622 0.0796 F
0.3622 0.3135 0.5796 F
0.6378 0.6865 0.4204 F
0.6865 0.6378 0.9204 F
0.7282 0.1560 0.0597 F
0.8440 0.2718 0.4403 F
0.9341 0.0659 0.7500 F
```